Computed X-ray diffraction stick pattern
Compound: LiVPO5
Radiation: Cu Kα X-rays
Structure: a cell relaxed with GGA+U
Intensities are scaled so that the largest is 100.

```
data_LiVPO5
_chemical_formula_sum 'Li4 V4 P4 O20'
_symmetry_space_group_name_H-M 'P 1 21/c 1'
_symmetry_Int_Tables_number 14
_cell_length_a 5.151
_cell_length_b 10.006
_cell_length_c 7.507
_cell_angle_alpha 90.00
_cell_angle_beta 100.85
_cell_angle_gamma 90.00
loop_
_symmetry_equiv_pos_as_xyz
'x,y,z'
'-x,-y,-z'
'-x,y+1/2,-z+1/2'
'x,-y+1/2,z+1/2'
loop_
_atom_site_label
_atom_site_type_symbol
_atom_site_fract_x
_atom_site_fract_y
_atom_site_fract_z
Li1 Li 0.045 0.143 0.179
V1 V 0.492 0.574 0.662
P1 P 0.360 0.665 0.070
O1 O 0.184 0.709 0.542
O2 O 0.253 0.561 0.195
O3 O 0.298 0.049 0.040
O4 O 0.365 0.598 0.885
O5 O 0.369 0.227 0.336
```

Main lines, in order of falling intensity (10 to 90 degrees two-theta):
hkl, two_theta, I (rel.)
1 0 0, 17.5, 100
1 2 1, 29.3, 30
0 1 2, 25.8, 28
1 1 -2, 28.6, 27
1 1 0, 19.7, 22
2 2 1, 43.9, 14